[1]
Structure and computed powder diffractogram of BaLaBi2S6 (a crystal structure in the Materials Project, relaxed with GGA-PBE; Cu Kα (λ = 1.5418 Å)).

The 12 most intense peaks (2θ from 10° to 80°), in order of rising 2θ:
2θ/deg  Rel. int.
22.23  700
24.02  848
24.56  554
25.00  532
26.13  1000
27.52  352
27.81  495
30.05  546
31.81  859
33.20  418
39.90  361
42.78  481

Structure:
Lattice parameters (Å, degrees): 4.232 14.959 16.622 90.00 92.72 90.00
Element x y z (fractional)
Ba 0.244 0.211 0.330
Ba 0.244 0.289 0.830
Ba 0.756 0.711 0.170
Ba 0.756 0.789 0.670
La 0.205 0.126 0.594
La 0.205 0.374 0.094
La 0.795 0.626 0.906
La 0.795 0.874 0.406
Bi 0.237 0.628 0.470
Bi 0.237 0.872 0.970
Bi 0.258 0.521 0.700
Bi 0.258 0.979 0.200
Bi 0.742 0.021 0.800
Bi 0.742 0.479 0.300
Bi 0.763 0.128 0.030
Bi 0.763 0.372 0.530
S 0.181 0.537 0.202
S 0.181 0.963 0.702
S 0.205 0.084 0.911
S 0.205 0.416 0.411
S 0.253 0.169 0.131
S 0.253 0.331 0.631
S 0.265 0.707 0.020
S 0.265 0.793 0.520
S 0.277 0.673 0.782
S 0.277 0.827 0.282
S 0.342 0.012 0.450
S 0.342 0.488 0.950
S 0.658 0.512 0.050
S 0.658 0.988 0.550
S 0.723 0.173 0.718
S 0.723 0.327 0.218
S 0.735 0.207 0.480
S 0.735 0.293 0.980
S 0.747 0.669 0.369
S 0.747 0.831 0.869
S 0.795 0.584 0.589
S 0.795 0.916 0.089
S 0.819 0.037 0.298
S 0.819 0.463 0.798


[2]
Structure and computed powder diffractogram of Ba2UP2O10 (a crystal structure in the Materials Project, relaxed with GGA-PBE; Cu Kα (λ = 1.5418 Å)).

The 12 most intense peaks (2θ from 10° to 80°), in order of rising 2θ:
2θ/deg  Rel. int.
12.71  660
20.38  711
21.06  726
21.53  719
26.34  1000
26.45  599
27.50  803
28.62  355
32.32  372
32.87  822
42.83  343
43.84  313

Structure:
Lattice parameters (Å, degrees): 6.841 8.800 9.176 105.21 93.55 111.73
Element x y z (fractional)
Ba 0.161 0.049 0.262
Ba 0.188 0.582 0.795
Ba 0.812 0.418 0.205
Ba 0.839 0.951 0.738
U 0.494 0.747 0.282
U 0.506 0.253 0.718
P 0.204 0.818 0.532
P 0.222 0.312 0.034
P 0.778 0.688 0.966
P 0.796 0.182 0.468
O 0.007 0.807 0.961
O 0.029 0.714 0.605
O 0.155 0.743 0.352
O 0.213 0.007 0.574
O 0.245 0.505 0.097
O 0.250 0.286 0.862
O 0.391 0.282 0.125
O 0.428 0.387 0.624
O 0.429 0.824 0.578
O 0.438 0.870 0.164
O 0.562 0.130 0.836
O 0.571 0.176 0.422
O 0.572 0.613 0.376
O 0.609 0.718 0.875
O 0.750 0.714 0.138
O 0.755 0.495 0.903
O 0.787 0.993 0.426
O 0.845 0.257 0.648
O 0.971 0.286 0.395
O 0.993 0.193 0.039


[3]
Structure and computed powder diffractogram of InSb2S4Cl (a crystal structure in the Materials Project, relaxed with GGA-PBE; Cu Kα (λ = 1.5418 Å)).

The 12 most intense peaks (2θ from 10° to 80°), in order of rising 2θ:
2θ/deg  Rel. int.
15.09  1000
19.08  264
25.32  489
25.76  304
27.43  589
30.92  354
32.09  291
32.33  650
34.18  337
34.84  514
46.67  310
47.35  335

Structure:
Lattice parameters (Å, degrees): 10.303 10.303 11.828 118.10 118.10 21.77
Element x y z (fractional)
In 0.164 0.164 0.439
In 0.836 0.836 0.561
Sb 0.203 0.203 0.094
Sb 0.451 0.451 0.221
Sb 0.549 0.549 0.779
Sb 0.797 0.797 0.906
S 0.036 0.036 0.221
S 0.182 0.182 0.867
S 0.287 0.287 0.651
S 0.401 0.401 0.981
S 0.599 0.599 0.019
S 0.713 0.713 0.349
S 0.818 0.818 0.133
S 0.964 0.964 0.779
Cl 0.395 0.395 0.475
Cl 0.605 0.605 0.525